Computed powder X-ray diffraction pattern of Tm3Cu11 for Cu Kα, from a DFT-relaxed cell (PBE, Alexandria).

Main lines, by angle (2θ from 10° to 80°):
2θ = 30.93°, intensity 33
2θ = 37.41°, intensity 100
2θ = 38.00°, intensity 44
2θ = 38.33°, intensity 45
2θ = 43.28°, intensity 23
2θ = 43.69°, intensity 44

Cell and atoms:
```
Tm3Cu11
1.0
-2.072 4.328 6.053
2.072 -4.328 6.053
2.072 4.328 -6.053
Tm Cu
3 11
Cartesian
0.000 0.000 0.000
0.000 0.000 3.720
0.000 0.000 8.386
2.072 -1.240 2.134
2.072 -1.918 4.577
2.072 2.526 0.000
2.072 1.240 2.134
0.000 2.411 1.476
0.000 4.328 0.000
2.072 1.918 4.577
0.000 3.088 3.919
0.000 1.803 6.053
0.000 6.246 1.476
0.000 5.569 3.919
```

Computed powder X-ray diffraction pattern of Li8Zn3 for Cu Kα, from a DFT-relaxed cell (PBE, Alexandria).

Main lines, by angle (2θ from 10° to 80°):
2θ = 23.09°, intensity 57
2θ = 23.67°, intensity 100
2θ = 26.48°, intensity 41
2θ = 26.69°, intensity 33
2θ = 39.06°, intensity 55
2θ = 39.70°, intensity 53

Cell and atoms:
```
Li8Zn3
1.0
4.092 -2.178 0.000
4.092 2.178 0.000
-3.591 0.000 10.020
Li Zn
8 3
Cartesian
-0.227 0.000 2.742
-0.487 0.000 5.453
-0.717 0.000 8.196
2.649 0.000 0.941
1.944 0.000 9.079
5.311 0.000 1.824
5.081 0.000 4.567
4.820 0.000 7.277
0.000 0.000 0.000
2.446 0.000 3.701
2.148 0.000 6.319
```

Computed powder X-ray diffraction pattern of Sc2Ni6GeH for Cu Kα, from a DFT-relaxed cell (PBE, Alexandria).

Main lines, by angle (2θ from 10° to 80°):
2θ = 22.76°, intensity 45
2θ = 38.84°, intensity 55
2θ = 42.36°, intensity 90
2θ = 42.88°, intensity 46
2θ = 46.50°, intensity 100
2θ = 74.47°, intensity 22

Cell and atoms:
```
Sc2Ni6GeH
1.0
4.415 -2.545 0.000
4.415 2.545 0.000
-2.955 0.000 5.603
Sc Ni Ge H
2 6 1 1
Cartesian
1.462 0.000 0.879
4.413 0.000 4.724
0.013 0.000 3.772
2.205 1.265 3.790
3.670 1.265 1.813
2.205 -1.265 3.790
3.670 -1.265 1.813
5.862 0.000 1.831
4.415 0.000 0.000
-1.478 0.000 2.802
```

Computed powder X-ray diffraction pattern of SrBW2 for Cu Kα, from a DFT-relaxed cell (PBE, Alexandria).

Main lines, by angle (2θ from 10° to 80°):
2θ = 16.83°, intensity 46
2θ = 32.54°, intensity 100
2θ = 34.03°, intensity 69
2θ = 52.08°, intensity 36
2θ = 57.10°, intensity 38
2θ = 68.17°, intensity 28

Cell and atoms:
```
SrBW2
1.0
0.000 4.562 4.562
4.562 0.000 4.562
4.562 4.562 0.000
Sr B W
2 2 4
Cartesian
1.141 1.141 1.141
7.984 7.984 7.984
3.422 3.422 3.422
5.703 5.703 5.703
4.562 2.281 2.281
2.281 4.562 2.281
2.281 2.281 4.562
4.562 4.562 4.562
```

Computed powder X-ray diffraction pattern of Ho2GaCu4Ge3 for Cu Kα, from a DFT-relaxed cell (PBE, Alexandria).

Main lines, by angle (2θ from 10° to 80°):
2θ = 34.23°, intensity 62
2θ = 35.83°, intensity 100
2θ = 44.65°, intensity 51
2θ = 49.67°, intensity 31
2θ = 57.44°, intensity 28
2θ = 68.98°, intensity 23

Cell and atoms:
```
Ho2GaCu4Ge3
1.0
4.059 0.000 0.000
0.000 4.059 0.000
0.000 0.000 10.290
Ho Ga Cu Ge
2 1 4 3
Cartesian
0.000 2.029 2.500
2.029 0.000 7.790
0.000 0.000 5.145
0.000 0.000 0.000
0.000 2.029 6.564
2.029 0.000 3.727
2.029 2.029 0.000
0.000 2.029 8.915
2.029 0.000 1.375
2.029 2.029 5.145
```

Computed powder X-ray diffraction pattern of CoPd7 for Cu Kα, from a DFT-relaxed cell (PBE, Alexandria).

Main lines, by angle (2θ from 10° to 80°):
2θ = 23.48°, intensity 1
2θ = 39.95°, intensity 100
2θ = 46.35°, intensity 16
2θ = 46.53°, intensity 32
2θ = 67.77°, intensity 20
2θ = 67.91°, intensity 10

Cell and atoms:
```
CoPd7
1.0
-1.952 1.952 7.836
1.952 -1.952 7.836
1.952 1.952 -7.836
Co Pd
1 7
Cartesian
0.000 0.000 0.000
1.952 0.000 1.889
0.000 0.000 3.924
1.952 0.000 5.947
0.000 0.000 7.836
0.000 1.952 1.889
0.000 0.000 11.748
0.000 1.952 5.947
```

Computed powder X-ray diffraction pattern of CaAcLa5Pm2 for Cu Kα, from a DFT-relaxed cell (PBE, Alexandria).

Main lines, by angle (2θ from 10° to 80°):
2θ = 26.67°, intensity 50
2θ = 27.16°, intensity 46
2θ = 29.66°, intensity 100
2θ = 29.89°, intensity 37
2θ = 34.69°, intensity 24
2θ = 35.72°, intensity 26

Cell and atoms:
```
CaAcLa5Pm2
1.0
-4.727 4.727 7.816
4.727 -4.727 7.816
4.727 4.727 -7.816
Ca Ac La Pm
2 2 10 4
Cartesian
4.727 0.000 3.908
0.000 4.727 3.908
0.000 0.000 3.908
0.000 0.000 11.724
0.000 0.000 0.000
6.649 1.922 -1.909
1.922 2.804 -1.909
6.649 1.922 1.909
1.922 2.804 1.909
0.000 0.000 7.816
2.804 1.922 5.906
-1.922 2.804 5.906
2.804 1.922 9.725
-1.922 2.804 9.725
3.659 1.068 0.000
3.659 -1.068 7.816
1.068 5.794 0.000
1.068 3.659 7.816
```

Computed powder X-ray diffraction pattern of Na2Ti9O19 for Cu Kα, from a DFT-relaxed cell (PBE, Alexandria).

Main lines, by angle (2θ from 10° to 80°):
2θ = 11.40°, intensity 25
2θ = 24.67°, intensity 100
2θ = 28.77°, intensity 51
2θ = 34.17°, intensity 24
2θ = 43.29°, intensity 29
2θ = 48.17°, intensity 39

Cell and atoms:
```
Na2Ti9O19
1.0
6.271 -1.889 0.000
6.271 1.889 0.000
-3.885 0.000 15.523
Na Ti O
2 9 19
Cartesian
0.000 0.000 0.000
6.866 0.000 7.722
-0.044 0.000 4.733
-2.118 0.000 13.408
2.105 0.000 1.833
-0.091 0.000 10.881
8.735 0.000 4.628
6.549 0.000 13.703
10.780 0.000 2.126
8.680 0.000 10.842
10.474 0.000 7.780
0.079 0.000 2.175
-2.041 0.000 11.490
-0.409 0.000 6.434
-0.473 0.000 9.185
2.035 0.000 0.081
2.071 0.000 4.225
-0.011 0.000 13.234
4.116 0.000 1.964
1.921 0.000 10.964
4.378 0.000 7.770
6.740 0.000 4.617
4.538 0.000 13.570
8.661 0.000 2.309
6.583 0.000 11.287
6.621 0.000 15.453
9.113 0.000 6.342
9.024 0.000 9.113
10.690 0.000 4.045
8.574 0.000 13.344
```

Computed powder X-ray diffraction pattern of LaPm6Pr4 for Cu Kα, from a DFT-relaxed cell (PBE, Alexandria).

Main lines, by angle (2θ from 10° to 80°):
2θ = 30.76°, intensity 95
2θ = 31.76°, intensity 100
2θ = 34.73°, intensity 23
2θ = 44.80°, intensity 27
2θ = 55.96°, intensity 36
2θ = 60.85°, intensity 31

Cell and atoms:
```
LaPm6Pr4
1.0
11.270 0.000 0.000
-5.635 9.760 0.000
0.000 0.000 3.618
La Pm Pr
1 6 4
Cartesian
0.000 0.000 0.000
-2.780 4.902 0.000
0.000 3.272 1.809
-2.802 8.124 1.809
2.780 4.902 0.000
0.000 9.717 0.000
2.802 8.124 1.809
0.000 6.507 0.000
3.340 1.929 1.809
7.930 1.929 1.809
5.635 5.903 1.809
```

Computed powder X-ray diffraction pattern of Cd4AgRh2 for Cu Kα, from a DFT-relaxed cell (PBE, Alexandria).

Main lines, by angle (2θ from 10° to 80°):
2θ = 36.51°, intensity 25
2θ = 38.88°, intensity 100
2θ = 39.98°, intensity 72
2θ = 57.00°, intensity 25
2θ = 70.41°, intensity 16
2θ = 71.15°, intensity 25

Cell and atoms:
```
Cd4AgRh2
1.0
2.316 1.337 7.270
-2.316 1.337 7.270
0.000 -2.674 7.270
Cd Ag Rh
4 1 2
Cartesian
0.000 0.000 2.419
0.000 0.000 8.021
0.000 0.000 13.790
0.000 0.000 19.392
0.000 0.000 10.906
0.000 0.000 5.263
0.000 0.000 16.549
```

Computed powder X-ray diffraction pattern of MgTaOsO6 for Cu Kα, from a DFT-relaxed cell (PBE, Alexandria).

Main lines, by angle (2θ from 10° to 80°):
2θ = 19.23°, intensity 20
2θ = 21.06°, intensity 52
2θ = 26.59°, intensity 100
2θ = 34.75°, intensity 79
2θ = 37.96°, intensity 24
2θ = 52.40°, intensity 66

Cell and atoms:
```
MgTaOsO6
1.0
4.741 0.000 0.000
0.000 4.741 0.000
0.000 0.000 9.232
Mg Ta Os O
2 2 2 12
Cartesian
0.000 0.000 0.000
2.371 2.371 4.616
0.000 0.000 6.176
2.371 2.371 1.560
0.000 0.000 3.056
2.371 2.371 7.672
0.892 0.892 4.587
0.945 0.945 1.607
0.969 0.969 7.590
1.401 3.340 2.974
1.426 3.315 6.223
1.478 3.263 9.203
3.263 1.478 9.203
3.315 1.426 6.223
3.340 1.401 2.974
3.772 3.772 7.590
3.796 3.796 1.607
3.849 3.849 4.587
```

Computed powder X-ray diffraction pattern of CaLuNiAg for Cu Kα, from a DFT-relaxed cell (PBE, Alexandria).

Main lines, by angle (2θ from 10° to 80°):
2θ = 22.04°, intensity 29
2θ = 36.38°, intensity 100
2θ = 42.95°, intensity 16
2θ = 52.40°, intensity 17
2θ = 65.46°, intensity 34
2θ = 77.27°, intensity 10

Cell and atoms:
```
CaLuNiAg
1.0
0.000 3.492 3.492
3.492 0.000 3.492
3.492 3.492 0.000
Ca Lu Ni Ag
1 1 1 1
Cartesian
0.000 0.000 0.000
3.492 3.492 3.492
5.239 5.239 5.239
1.746 1.746 1.746
```